Simulated powder XRD pattern
Compound: ZnCrMoO6
Radiation: a wavelength of 1.5418 Å
Structure: a cell relaxed with GGA+U
Intensities are scaled so that the largest is 100.

Structure:
abc: 4.655 4.655 9.090
angles: 90.00 90.00 90.00
Sites, in units of the cell vectors:
Zn 0.000 0.000 0.000
Zn 0.500 0.500 0.500
Cr 0.000 0.000 0.331
Cr 0.500 0.500 0.831
Mo 0.000 0.000 0.664
Mo 0.500 0.500 0.164
O 0.188 0.188 0.500
O 0.207 0.207 0.177
O 0.212 0.212 0.818
O 0.288 0.712 0.318
O 0.293 0.707 0.677
O 0.312 0.688 0.000
O 0.688 0.312 0.000
O 0.707 0.293 0.677
O 0.712 0.288 0.318
O 0.788 0.788 0.818
O 0.793 0.793 0.177
O 0.812 0.812 0.500

Principal peaks in the range 2θ from 10° to 80°, in order of falling intensity:
index  2θ/deg  I/Imax
1 1 0  27.1  100
1 0 3  35.3  68
2 1 3  53.4  61
3 0 3  67.9  19
2 2 0  55.9  18
2 0 0  38.7  14
3 1 0  63.2  13
1 1 6  68.1  13
1 0 1  21.4  9
1 1 3  40.5  9